Diffraction record for NaPH7O6. The powder diffractogram is computed, not measured: it uses a DFT-relaxed cell (PBE, the Materials Project) and Cu Kα (weighted mean of Kα1 and Kα2).
Lines closer than 0.1° are merged.

Structural model:
```
60
Lattice="7.0453 -3.5208 0.0000 7.0453 3.5208 0.0000 -5.6407 0.0000 11.5271" Properties=species:S:1:pos:R:3 pbc="T T T"
Na 1.9980 0.8194 2.7205
Na -0.8223 -0.8194 8.4841
Na 9.2722 0.8194 3.0430
Na 6.4518 -0.8194 8.8065
P 3.2900 0.9975 7.6349
P 2.3395 0.9975 9.6557
P 6.1103 -0.9975 1.8714
P 5.1599 -0.9975 3.8922
H 6.2782 3.2873 1.3095
H -2.5581 0.9582 10.3269
H 4.9920 3.2873 4.4541
H 2.1408 1.9696 5.2267
H 6.1781 2.3546 0.0382
H 0.5519 0.9202 6.9071
H -1.1796 0.5009 10.9301
H 5.0921 2.3546 5.7253
H 4.6536 1.1554 4.1286
H 0.2622 -0.9582 4.5633
H 6.6165 1.1554 1.6350
H 1.6408 -0.5009 5.1665
H 9.1294 1.9696 0.5368
H 3.3723 -0.9202 1.1435
H 5.0776 0.9202 10.3835
H -0.6795 -1.9696 10.9903
H 6.8091 0.5009 6.3605
H 1.8333 -1.1554 9.8921
H 8.1876 0.9582 6.9637
H 3.7962 -1.1554 7.3985
H 3.3578 -2.3546 5.8017
H 9.6294 -0.5009 0.5970
H 7.8979 -0.9202 4.6200
H 2.2717 -2.3546 11.4889
H 6.3090 -1.9696 6.3003
H 3.4578 -3.2873 7.0730
H 11.0079 -0.9582 1.2002
H 2.1717 -3.2873 10.2176
O -0.4197 1.0438 7.0893
O -1.5974 0.8829 10.1228
O 5.9319 2.3991 0.9948
O 1.4583 2.2292 9.8476
O 5.3383 2.3991 4.7688
O 4.1712 2.2292 7.4431
O 2.2243 0.7851 6.5642
O 1.2230 -0.8829 4.3593
O 2.4006 -1.0438 1.3258
O 4.2113 0.2906 3.7792
O 1.3910 -0.2906 9.5427
O 5.0447 -0.7851 0.8006
O 3.4052 0.7851 10.7265
O 7.0589 0.2906 1.9844
O 4.2385 -0.2906 7.7479
O 6.0492 1.0438 10.2013
O 7.2269 0.8829 7.1678
O 6.2255 -0.7851 4.9629
O 4.2787 -2.2292 4.0840
O 3.1116 -2.3991 6.7583
O 6.9915 -2.2292 1.6795
O 2.5179 -2.3991 10.5323
O 10.0472 -0.8829 1.4043
O 8.8695 -1.0438 4.4377
```

Top 8 peaks for 2θ = 10–90°, by intensity:
| 2theta | I (rel.) |
| --- | --- |
| 34.55 | 1000 |
| 14.39 | 758 |
| 28.20 | 756 |
| 14.80 | 753 |
| 27.81 | 733 |
| 31.51 | 673 |
| 28.38 | 628 |
| 45.17 | 494 |